Be5Fe: simulated XRD peak list (Cu Kα), based on a PBE-relaxed structure.
Kinematic intensities with the Lorentz-polarization factor, no thermal factor.

Cell and atoms:
abc: 5.835 5.835 5.835
angles: 90.00 90.00 90.00
Space group F-43m (No. 216)
Symmetry-distinct sites (fractional):
Be 0.000 0.000 0.000 (multiplicity 4)
Be 0.124 0.124 0.624 (multiplicity 16)
Fe 0.250 0.250 0.250 (multiplicity 4)

The 6 most intense peaks (2θ from 5° to 70°), most intense first:
hkl  2theta  I/Imax
1 1 1  26.46  100
3 1 1  51.98  80
2 2 0  43.89  61
2 0 0  30.65  56
2 2 2  54.48  16
4 0 0  63.81  4

***

Be3Fe: simulated XRD peak list (Cu Kα), based on a PBE-relaxed structure.
Kinematic intensities with the Lorentz-polarization factor, no thermal factor.

Cell and atoms:
abc: 3.241 3.241 3.241
angles: 90.00 90.00 90.00
Space group Pm-3m (No. 221)
Symmetry-distinct sites (fractional):
Be 0.000 0.000 0.500 (multiplicity 3)
Fe 0.500 0.500 0.500 (multiplicity 1)

The 5 most intense peaks (2θ from 5° to 70°), most intense first:
hkl  2theta  I/Imax
1 0 0  27.52  100
1 1 0  39.32  76
1 1 1  48.66  54
2 1 0  64.27  31
2 0 0  56.81  25

***

Be12Fe: simulated XRD peak list (Cu Kα), based on a PBE-relaxed structure.
Kinematic intensities with the Lorentz-polarization factor, no thermal factor.

Cell and atoms:
abc: 7.151 7.151 4.078
angles: 90.00 90.00 90.00
Space group I4/mmm (No. 139)
Symmetry-distinct sites (fractional):
Be 0.000 0.210 0.000 (multiplicity 8)
Be 0.000 0.346 0.500 (multiplicity 8)
Be 0.250 0.250 0.250 (multiplicity 8)
Fe 0.000 0.000 0.500 (multiplicity 2)

The 12 most intense peaks (2θ from 5° to 70°), most intense first:
hkl  2theta  I/Imax
1 1 0  17.54  100
2 1 1  35.68  81
1 0 1  25.14  78
3 2 1  51.22  63
3 0 1  44.00  44
2 0 2  51.60  36
3 1 0  39.87  33
2 0 0  24.90  31
4 0 0  51.09  24
2 2 0  35.51  19
3 1 2  61.21  17
4 3 1  69.67  16

***

BeGaO3: simulated XRD peak list (Cu Kα), based on a PBE-relaxed structure.
Kinematic intensities with the Lorentz-polarization factor, no thermal factor.

Cell and atoms:
abc: 3.463 3.463 3.463
angles: 90.00 90.00 90.00
Space group Pm-3m (No. 221)
Symmetry-distinct sites (fractional):
Be 0.000 0.000 0.000 (multiplicity 1)
Ga 0.500 0.500 0.500 (multiplicity 1)
O 0.000 0.000 0.500 (multiplicity 3)

The 6 most intense peaks (2θ from 5° to 70°), most intense first:
hkl  2theta  I/Imax
1 1 1  45.37  100
1 1 0  36.71  85
1 0 0  25.73  65
2 0 0  52.88  54
2 1 1  66.10  32
2 1 0  59.72  29